1.
Starting from DFT lattice parameters and positions (PBE), the powder diffractogram of Na2PHO3 was calculated for copper Kα.
Lines closer than 0.1° are merged.

The 6 most intense peaks (10° ≤ 2θ ≤ 90°), low angle first:
- 22.96°, I = 66.5
- 25.17°, I = 86.8
- 31.21°, I = 80.4
- 32.27°, I = 62.1
- 34.93°, I = 100.0
- 37.53°, I = 71.5

Atomic structure:
```
data_Na2PHO3
_symmetry_space_group_name_H-M 'P 1 21/c 1'
_symmetry_Int_Tables_number 14
_cell_length_a 5.141
_cell_length_b 7.076
_cell_length_c 10.856
_cell_angle_alpha 90.00
_cell_angle_beta 115.82
_cell_angle_gamma 90.00
loop_
_symmetry_equiv_pos_as_xyz
'x,y,z'
'-x,-y,-z'
'-x,y+1/2,-z+1/2'
'x,-y+1/2,z+1/2'
loop_
_atom_site_label
_atom_site_type_symbol
_atom_site_fract_x
_atom_site_fract_y
_atom_site_fract_z
_atom_site_occupancy
Na1 Na 0.031 0.061 0.254 1
Na2 Na 0.381 0.192 0.604 1
P1 P 0.257 0.740 0.573 1
H1 H 0.412 0.570 0.586 1
O1 O 0.007 0.193 0.901 1
O2 O 0.172 0.691 0.926 1
O3 O 0.467 0.625 0.185 1
```

=====

2.
Starting from DFT lattice parameters and positions (PBE), the powder diffractogram of NaP2H5O6 was calculated for copper Kα.
Lines closer than 0.1° are merged.

The 6 most intense peaks (10° ≤ 2θ ≤ 90°), low angle first:
- 24.59°, I = 42.6
- 24.80°, I = 44.1
- 24.98°, I = 100.0
- 29.67°, I = 15.7
- 35.11°, I = 17.8
- 36.34°, I = 17.0

Atomic structure:
```
data_NaP2H5O6
_symmetry_space_group_name_H-M 'C 1 c 1'
_symmetry_Int_Tables_number 9
_cell_length_a 10.466
_cell_length_b 5.966
_cell_length_c 9.889
_cell_angle_alpha 90.00
_cell_angle_beta 90.85
_cell_angle_gamma 90.00
loop_
_symmetry_equiv_pos_as_xyz
'x,y,z'
'x,-y,z+1/2'
'x+1/2,y+1/2,z'
'x+1/2,-y+1/2,z+1/2'
loop_
_atom_site_label
_atom_site_type_symbol
_atom_site_fract_x
_atom_site_fract_y
_atom_site_fract_z
_atom_site_occupancy
Na1 Na 0.000 0.018 0.000 1
P1 P 0.160 0.494 0.107 1
P2 P 0.324 0.005 0.409 1
H1 H 0.161 0.187 0.740 1
H2 H 0.163 0.498 0.466 1
H3 H 0.321 0.345 0.241 1
H4 H 0.329 0.003 0.551 1
H5 H 0.481 0.157 0.786 1
O1 O 0.061 0.327 0.153 1
O2 O 0.129 0.257 0.646 1
O3 O 0.192 0.077 0.864 1
O4 O 0.301 0.435 0.149 1
O5 O 0.361 0.240 0.362 1
O6 O 0.433 0.173 0.875 1
```

=====

3.
Starting from DFT lattice parameters and positions (PBE), the powder diffractogram of NaPHO3 was calculated for copper Kα.
Lines closer than 0.1° are merged.

The 6 most intense peaks (10° ≤ 2θ ≤ 90°), low angle first:
- 11.47°, I = 82.9
- 14.35°, I = 100.0
- 18.03°, I = 40.9
- 23.05°, I = 38.8
- 26.95°, I = 23.5
- 31.47°, I = 19.2

Atomic structure:
```
data_NaPHO3
_symmetry_space_group_name_H-M 'P 1 21/c 1'
_symmetry_Int_Tables_number 14
_cell_length_a 6.177
_cell_length_b 12.440
_cell_length_c 9.843
_cell_angle_alpha 90.00
_cell_angle_beta 91.75
_cell_angle_gamma 90.00
loop_
_symmetry_equiv_pos_as_xyz
'x,y,z'
'-x,-y,-z'
'-x,y+1/2,-z+1/2'
'x,-y+1/2,z+1/2'
loop_
_atom_site_label
_atom_site_type_symbol
_atom_site_fract_x
_atom_site_fract_y
_atom_site_fract_z
_atom_site_occupancy
Na1 Na 0.059 0.128 0.450 1
Na2 Na 0.306 0.075 0.025 1
P1 P 0.401 0.004 0.685 1
P2 P 0.457 0.681 0.993 1
H1 H 0.049 0.187 0.195 1
H2 H 0.061 0.590 0.628 1
O1 O 0.176 0.014 0.624 1
O2 O 0.238 0.729 0.009 1
O3 O 0.344 0.250 0.017 1
O4 O 0.433 0.505 0.337 1
O5 O 0.441 0.600 0.863 1
O6 O 0.475 0.099 0.380 1
```

=====

4.
Starting from DFT lattice parameters and positions (PBE), the powder diffractogram of Na5P3H2O11 was calculated for copper Kα.
Lines closer than 0.1° are merged.

The 6 most intense peaks (10° ≤ 2θ ≤ 90°), low angle first:
- 20.31°, I = 73.0
- 26.46°, I = 53.9
- 26.64°, I = 61.4
- 29.36°, I = 66.3
- 29.54°, I = 100.0
- 32.86°, I = 67.6

Atomic structure:
```
data_Na5P3H2O11
_symmetry_space_group_name_H-M 'P -1'
_symmetry_Int_Tables_number 2
_cell_length_a 7.026
_cell_length_b 7.082
_cell_length_c 10.938
_cell_angle_alpha 82.94
_cell_angle_beta 81.63
_cell_angle_gamma 76.65
loop_
_symmetry_equiv_pos_as_xyz
'x,y,z'
'-x,-y,-z'
loop_
_atom_site_label
_atom_site_type_symbol
_atom_site_fract_x
_atom_site_fract_y
_atom_site_fract_z
_atom_site_occupancy
Na1 Na 0.041 0.421 0.255 1
Na2 Na 0.072 0.002 0.757 1
Na3 Na 0.298 0.195 0.999 1
Na4 Na 0.320 0.217 0.499 1
Na5 Na 0.451 0.566 0.751 1
P1 P 0.195 0.681 0.025 1
P2 P 0.204 0.690 0.465 1
P3 P 0.428 0.944 0.283 1
H1 H 0.000 0.000 0.500 1
H2 H 0.052 0.006 0.990 1
H3 H 0.500 0.500 0.000 1
O1 O 0.005 0.847 0.455 1
O2 O 0.015 0.706 0.124 1
O3 O 0.142 0.682 0.892 1
O4 O 0.230 0.530 0.380 1
O5 O 0.231 0.617 0.599 1
O6 O 0.240 0.083 0.248 1
O7 O 0.319 0.843 0.009 1
O8 O 0.344 0.485 0.061 1
O9 O 0.373 0.816 0.418 1
O10 O 0.422 0.956 0.677 1
O11 O 0.480 0.210 0.808 1
```

=====

5.
Starting from DFT lattice parameters and positions (PBE), the powder diffractogram of Na3P2H4O7 was calculated for copper Kα.
Lines closer than 0.1° are merged.

The 6 most intense peaks (10° ≤ 2θ ≤ 90°), low angle first:
- 16.47°, I = 38.8
- 16.81°, I = 34.5
- 28.95°, I = 46.6
- 32.55°, I = 100.0
- 33.32°, I = 35.1
- 36.59°, I = 39.5

Atomic structure:
```
data_Na3P2H4O7
_symmetry_space_group_name_H-M 'P -1'
_symmetry_Int_Tables_number 2
_cell_length_a 6.072
_cell_length_b 6.253
_cell_length_c 11.511
_cell_angle_alpha 99.35
_cell_angle_beta 95.49
_cell_angle_gamma 117.60
loop_
_symmetry_equiv_pos_as_xyz
'x,y,z'
'-x,-y,-z'
loop_
_atom_site_label
_atom_site_type_symbol
_atom_site_fract_x
_atom_site_fract_y
_atom_site_fract_z
_atom_site_occupancy
Na1 Na 0.074 0.173 0.380 1
Na2 Na 0.273 0.304 0.087 1
Na3 Na 0.329 0.493 0.644 1
P1 P 0.344 0.834 0.429 1
P2 P 0.404 0.923 0.250 1
H1 H 0.101 0.376 0.858 1
H2 H 0.216 0.807 0.013 1
H3 H 0.240 0.900 0.889 1
H4 H 0.267 0.243 0.830 1
O1 O 0.087 0.816 0.443 1
O2 O 0.174 0.903 0.964 1
O3 O 0.229 0.682 0.155 1
O4 O 0.278 0.405 0.864 1
O5 O 0.311 0.982 0.751 1
O6 O 0.332 0.129 0.252 1
O7 O 0.372 0.607 0.441 1
```